(1)
This entry pairs a crystal structure of NdMoI4O15 with its theoretical X-ray powder pattern. Radiation: Cu Kα (weighted mean of Kα1 and Kα2). Structure: a crystal structure in the Materials Project, relaxed with GGA+U.
Intensities are scaled so that the largest is 100.

Main lines, low angle first (2θ from 10° to 90°):
two_theta  I (rel.)  h k l
23.1  40  0 3 1
23.3  56  1 3 0
23.7  56  1 1 1
24.7  49  1 0 -2
25.5  38  1 1 -2
26.1  100  2 1 -1
27.7  29  0 1 2
28.5  41  0 4 1
29.2  31  1 4 -1
52.5  23  0 5 3

Atomic structure:
Lattice parameters (Å, degrees): 7.0758 14.2291 7.2444 90.00 114.09 90.00
Positions (direct):
Nd (0.0821, 0.0000, 0.4310)
Nd (0.9179, 0.5000, 0.5690)
Mo (0.4151, 0.6686, 0.2165)
Mo (0.5849, 0.1686, 0.7835)
I (0.1484, 0.1300, 0.9550)
I (0.2377, 0.7500, 0.6983)
I (0.2421, 0.4054, 0.1312)
I (0.4779, 0.9108, 0.2430)
I (0.5221, 0.4108, 0.7570)
I (0.7579, 0.9054, 0.8688)
I (0.7623, 0.2500, 0.3017)
I (0.8516, 0.6300, 0.0450)
O (0.0395, 0.3992, 0.8761)
O (0.0468, 0.6575, 0.6028)
O (0.0739, 0.8509, 0.5911)
O (0.0914, 0.0327, 0.7751)
O (0.2288, 0.0625, 0.1885)
O (0.2313, 0.5731, 0.0652)
O (0.2342, 0.7565, 0.9562)
O (0.2457, 0.2809, 0.2011)
O (0.2682, 0.7094, 0.3468)
O (0.2855, 0.4780, 0.6437)
O (0.3895, 0.0982, 0.6087)
O (0.4019, 0.9133, 0.4582)
O (0.4039, 0.2911, 0.7096)
O (0.4180, 0.1558, 0.9889)
O (0.4822, 0.4050, 0.0916)
O (0.5178, 0.9050, 0.9084)
O (0.5820, 0.6558, 0.0111)
O (0.5961, 0.7911, 0.2904)
O (0.5981, 0.4133, 0.5418)
O (0.6105, 0.5982, 0.3913)
O (0.7145, 0.9780, 0.3563)
O (0.7318, 0.2094, 0.6532)
O (0.7543, 0.7809, 0.7989)
O (0.7658, 0.2565, 0.0438)
O (0.7687, 0.0731, 0.9348)
O (0.7712, 0.5625, 0.8115)
O (0.9086, 0.5327, 0.2249)
O (0.9261, 0.3509, 0.4089)
O (0.9532, 0.1575, 0.3972)
O (0.9605, 0.8992, 0.1239)


(2)
This entry pairs a crystal structure of NaNiIO6 with its theoretical X-ray powder pattern. Radiation: Cu Kα (weighted mean of Kα1 and Kα2). Structure: a crystal structure in the Materials Project, relaxed with GGA+U.
Intensities are scaled so that the largest is 100.

Main lines, low angle first (2θ from 10° to 90°):
two_theta  I (rel.)  h k l
16.7  100  0 0 1
20.5  46  1 0 0
26.6  89  1 0 1
35.9  31  1 1 0
39.9  57  2 -1 1
45.3  17  2 0 1
50.1  52  2 -1 2
59.1  18  3 -1 1
64.6  30  3 0 0
67.2  17  3 0 1

Atomic structure:
Lattice parameters (Å, degrees): 4.9974 4.9974 5.3083 90.00 90.00 120.00
Positions (direct):
Na (0.0000, 0.0000, 0.0000)
Ni (0.3333, 0.6667, 0.5000)
I (0.6667, 0.3333, 0.5000)
O (0.0028, 0.3759, 0.7010)
O (0.0028, 0.6269, 0.2990)
O (0.3731, 0.3759, 0.2990)
O (0.3731, 0.9972, 0.7010)
O (0.6241, 0.6269, 0.7010)
O (0.6241, 0.9972, 0.2990)


Repeat the first record exactly.
This entry pairs a crystal structure of NdMoI4O15 with its theoretical X-ray powder pattern. Radiation: Cu Kα (weighted mean of Kα1 and Kα2). Structure: a crystal structure in the Materials Project, relaxed with GGA+U.
Intensities are scaled so that the largest is 100.

Main lines, low angle first (2θ from 10° to 90°):
two_theta  I (rel.)  h k l
23.1  40  0 3 1
23.3  56  1 3 0
23.7  56  1 1 1
24.7  49  1 0 -2
25.5  38  1 1 -2
26.1  100  2 1 -1
27.7  29  0 1 2
28.5  41  0 4 1
29.2  31  1 4 -1
52.5  23  0 5 3

Atomic structure:
Lattice parameters (Å, degrees): 7.0758 14.2291 7.2444 90.00 114.09 90.00
Positions (direct):
Nd (0.0821, 0.0000, 0.4310)
Nd (0.9179, 0.5000, 0.5690)
Mo (0.4151, 0.6686, 0.2165)
Mo (0.5849, 0.1686, 0.7835)
I (0.1484, 0.1300, 0.9550)
I (0.2377, 0.7500, 0.6983)
I (0.2421, 0.4054, 0.1312)
I (0.4779, 0.9108, 0.2430)
I (0.5221, 0.4108, 0.7570)
I (0.7579, 0.9054, 0.8688)
I (0.7623, 0.2500, 0.3017)
I (0.8516, 0.6300, 0.0450)
O (0.0395, 0.3992, 0.8761)
O (0.0468, 0.6575, 0.6028)
O (0.0739, 0.8509, 0.5911)
O (0.0914, 0.0327, 0.7751)
O (0.2288, 0.0625, 0.1885)
O (0.2313, 0.5731, 0.0652)
O (0.2342, 0.7565, 0.9562)
O (0.2457, 0.2809, 0.2011)
O (0.2682, 0.7094, 0.3468)
O (0.2855, 0.4780, 0.6437)
O (0.3895, 0.0982, 0.6087)
O (0.4019, 0.9133, 0.4582)
O (0.4039, 0.2911, 0.7096)
O (0.4180, 0.1558, 0.9889)
O (0.4822, 0.4050, 0.0916)
O (0.5178, 0.9050, 0.9084)
O (0.5820, 0.6558, 0.0111)
O (0.5961, 0.7911, 0.2904)
O (0.5981, 0.4133, 0.5418)
O (0.6105, 0.5982, 0.3913)
O (0.7145, 0.9780, 0.3563)
O (0.7318, 0.2094, 0.6532)
O (0.7543, 0.7809, 0.7989)
O (0.7658, 0.2565, 0.0438)
O (0.7687, 0.0731, 0.9348)
O (0.7712, 0.5625, 0.8115)
O (0.9086, 0.5327, 0.2249)
O (0.9261, 0.3509, 0.4089)
O (0.9532, 0.1575, 0.3972)
O (0.9605, 0.8992, 0.1239)


> Number 2 is which compound?

NaNiIO6